Entry 1:
Diffraction record for CrInReP. The powder X-ray diffraction pattern is theoretical, not measured: it uses the PBE geometry in Alexandria and Cu Kα (weighted mean of Kα1 and Kα2).
Neutral-atom scattering factors, no anomalous dispersion.

Largest 10 diffraction maxima, most intense first, 15° ≤ 2θ ≤ 90°:
hkl 1 0 5, d = 2.097 Å, 2θ = 43.14°, intensity 100; hkl 1 0 3, d = 2.549 Å, 2θ = 35.21°, intensity 68; hkl 1 1 0, d = 2.108 Å, 2θ = 42.91°, intensity 62; hkl 1 0 1, d = 2.922 Å, 2θ = 30.60°, intensity 55; hkl 0 0 4, d = 3.688 Å, 2θ = 24.13°, intensity 50; hkl 2 1 5, d = 1.215 Å, 2θ = 78.79°, intensity 33; hkl 1 1 4, d = 1.830 Å, 2θ = 49.83°, intensity 29; hkl 2 0 0, d = 1.490 Å, 2θ = 62.30°, intensity 20; hkl 1 1 8, d = 1.388 Å, 2θ = 67.49°, intensity 19; hkl 2 1 3, d = 1.287 Å, 2θ = 73.63°, intensity 15

Crystal structure
Lattice parameters (Å, degrees): 2.9805 2.9805 14.7525 90.00 90.00 90.00
Space group I4mm (No. 107)
One atom of each set of equivalent atoms:
Cr (0.0000, 0.0000, 0.0000) [2 per cell]
In (0.0000, 0.0000, 0.3737) [2 per cell]
Re (0.0000, 0.0000, 0.6062) [2 per cell]
P (0.0000, 0.0000, 0.1944) [2 per cell]

***

Entry 2:
Diffraction record for CrInReP. The powder X-ray diffraction pattern is theoretical, not measured: it uses the PBE geometry in Alexandria and Cu Kα (weighted mean of Kα1 and Kα2).
Neutral-atom scattering factors, no anomalous dispersion.

Largest 10 diffraction maxima, most intense first, 15° ≤ 2θ ≤ 90°:
hkl 1 0 3, d = 2.516 Å, 2θ = 35.69°, intensity 100; hkl 1 0 5, d = 2.089 Å, 2θ = 43.31°, intensity 80; hkl 1 1 0, d = 2.059 Å, 2θ = 43.97°, intensity 53; hkl 2 1 5, d = 1.194 Å, 2θ = 80.39°, intensity 26; hkl 1 0 1, d = 2.859 Å, 2θ = 31.29°, intensity 24; hkl 2 1 3, d = 1.260 Å, 2θ = 75.43°, intensity 22; hkl 1 1 6, d = 1.589 Å, 2θ = 58.05°, intensity 19; hkl 0 0 6, d = 2.499 Å, 2θ = 35.94°, intensity 18; hkl 1 1 8, d = 1.386 Å, 2θ = 67.59°, intensity 17; hkl 1 1 2, d = 1.986 Å, 2θ = 45.69°, intensity 17

Crystal structure
Lattice parameters (Å, degrees): 2.9120 2.9120 14.9914 90.00 90.00 90.00
Space group I4mm (No. 107)
One atom of each set of equivalent atoms:
Cr (0.0000, 0.0000, 0.0000) [2 per cell]
In (0.0000, 0.0000, 0.2433) [2 per cell]
Re (0.0000, 0.0000, 0.6051) [2 per cell]
P (0.0000, 0.0000, 0.4194) [2 per cell]

***

Entry 3:
Diffraction record for CrInReP. The powder X-ray diffraction pattern is theoretical, not measured: it uses the PBE geometry in Alexandria and Cu Kα (weighted mean of Kα1 and Kα2).
Neutral-atom scattering factors, no anomalous dispersion.

Largest 10 diffraction maxima, most intense first, 15° ≤ 2θ ≤ 90°:
hkl 0 1 3, d = 2.517 Å, 2θ = 35.67°, intensity 100; hkl 1 1 1, d = 2.160 Å, 2θ = 41.81°, intensity 94; hkl 1 0 4, d = 2.296 Å, 2θ = 39.24°, intensity 72; hkl 1 0 2, d = 2.851 Å, 2θ = 31.38°, intensity 52; hkl 0 0 6, d = 2.237 Å, 2θ = 40.32°, intensity 28; hkl 1 1 7, d = 1.442 Å, 2θ = 64.63°, intensity 27; hkl 2 1 3, d = 1.335 Å, 2θ = 70.55°, intensity 26; hkl 1 1 5, d = 1.696 Å, 2θ = 54.06°, intensity 22; hkl 1 2 4, d = 1.269 Å, 2θ = 74.83°, intensity 21; hkl 0 0 4, d = 3.355 Å, 2θ = 26.57°, intensity 17

Crystal structure
Lattice parameters (Å, degrees): 3.1492 3.0446 13.4199 90.00 90.00 90.00
Space group Amm2 (No. 38)
One atom of each set of equivalent atoms:
Cr (0.0000, 0.0000, 0.0000) [2 per cell]
In (0.5000, 0.0000, 0.6406) [2 per cell]
Re (0.0000, 0.0000, 0.3012) [2 per cell]
P (0.5000, 0.0000, 0.8742) [2 per cell]

***

Entry 4:
Diffraction record for PaCr4InS8. The powder X-ray diffraction pattern is theoretical, not measured: it uses the PBE geometry in Alexandria and Cu Kα (weighted mean of Kα1 and Kα2).
Neutral-atom scattering factors, no anomalous dispersion.

Largest 10 diffraction maxima, most intense first, 15° ≤ 2θ ≤ 90°:
hkl 1 1 3, d = 3.007 Å, 2θ = 29.71°, intensity 100; hkl 1 1 0, d = 3.410 Å, 2θ = 26.13°, intensity 51; hkl 1 0 1, d = 5.644 Å, 2θ = 15.70°, intensity 43; hkl 0 2 4, d = 2.513 Å, 2θ = 35.73°, intensity 38; hkl 0 1 5, d = 3.211 Å, 2θ = 27.78°, intensity 34; hkl 0 3 3, d = 1.881 Å, 2θ = 48.38°, intensity 31; hkl 2 2 0, d = 1.705 Å, 2θ = 53.76°, intensity 30; hkl 1 1 6, d = 2.329 Å, 2θ = 38.66°, intensity 29; hkl 2 0 8, d = 1.859 Å, 2θ = 49.01°, intensity 27; hkl 0 1 2, d = 5.026 Å, 2θ = 17.65°, intensity 20

Crystal structure
Lattice parameters (Å, degrees): 6.8206 6.8206 19.1307 90.00 90.00 120.00
Space group R3m (No. 160, hexagonal axes)
One atom of each set of equivalent atoms:
Pa (0.0000, 0.0000, 0.0000) [3 per cell]
Cr (0.0000, 0.0000, 0.6263) [3 per cell]
Cr (0.0565, 0.5283, 0.4941) [9 per cell]
In (0.0000, 0.0000, 0.3468) [3 per cell]
S (0.0000, 0.0000, 0.2119) [3 per cell]
S (0.0000, 0.0000, 0.7456) [3 per cell]
S (0.0073, 0.5036, 0.7654) [9 per cell]
S (0.1701, 0.3402, 0.5699) [9 per cell]

***

Entry 5:
Diffraction record for CrIn4Pd15. The powder X-ray diffraction pattern is theoretical, not measured: it uses the PBE geometry in Alexandria and Cu Kα (weighted mean of Kα1 and Kα2).
Neutral-atom scattering factors, no anomalous dispersion.

Largest 10 diffraction maxima, most intense first, 15° ≤ 2θ ≤ 90°:
hkl 1 1 5, d = 2.316 Å, 2θ = 38.89°, intensity 100; hkl 2 0 0, d = 2.001 Å, 2θ = 45.33°, intensity 33; hkl 3 1 5, d = 1.207 Å, 2θ = 79.37°, intensity 24; hkl 2 0 10, d = 1.420 Å, 2θ = 65.77°, intensity 20; hkl 0 0 10, d = 2.015 Å, 2θ = 44.98°, intensity 16; hkl 1 1 15, d = 1.214 Å, 2θ = 78.87°, intensity 11; hkl 2 2 0, d = 1.415 Å, 2θ = 66.04°, intensity 10; hkl 2 2 10, d = 1.158 Å, 2θ = 83.49°, intensity 10; hkl 1 1 4, d = 2.467 Å, 2θ = 36.42°, intensity 1; hkl 1 1 14, d = 1.283 Å, 2θ = 73.86°, intensity 1

Crystal structure
Lattice parameters (Å, degrees): 4.0013 4.0013 20.1538 90.00 90.00 90.00
Space group P4/mmm (No. 123)
One atom of each set of equivalent atoms:
Cr (0.0000, 0.0000, 0.0000) [1 per cell]
In (0.0000, 0.0000, 0.1966) [2 per cell]
In (0.0000, 0.0000, 0.3986) [2 per cell]
Pd (0.0000, 0.5000, 0.0935) [4 per cell]
Pd (0.0000, 0.5000, 0.2967) [4 per cell]
Pd (0.0000, 0.5000, 0.5000) [2 per cell]
Pd (0.5000, 0.5000, 0.0000) [1 per cell]
Pd (0.5000, 0.5000, 0.1944) [2 per cell]
Pd (0.5000, 0.5000, 0.3982) [2 per cell]

***

Entry 6:
Diffraction record for Cr2InPt9. The powder X-ray diffraction pattern is theoretical, not measured: it uses the PBE geometry in Alexandria and Cu Kα (weighted mean of Kα1 and Kα2).
Neutral-atom scattering factors, no anomalous dispersion.

Largest 10 diffraction maxima, most intense first, 15° ≤ 2θ ≤ 90°:
hkl 1 1 3, d = 2.287 Å, 2θ = 39.40°, intensity 100; hkl 2 0 0, d = 1.978 Å, 2θ = 45.89°, intensity 33; hkl 3 1 3, d = 1.193 Å, 2θ = 80.51°, intensity 25; hkl 2 0 6, d = 1.401 Å, 2θ = 66.75°, intensity 20; hkl 0 0 6, d = 1.986 Å, 2θ = 45.69°, intensity 16; hkl 1 1 9, d = 1.197 Å, 2θ = 80.22°, intensity 11; hkl 2 2 6, d = 1.143 Å, 2θ = 84.79°, intensity 11; hkl 2 2 0, d = 1.398 Å, 2θ = 66.91°, intensity 11; hkl 1 0 0, d = 3.961 Å, 2θ = 22.45°, intensity 10; hkl 1 1 0, d = 2.801 Å, 2θ = 31.96°, intensity 8

Crystal structure
Lattice parameters (Å, degrees): 3.9553 3.9553 11.9148 90.00 90.00 90.00
Space group P4/mmm (No. 123)
One atom of each set of equivalent atoms:
Cr (0.0000, 0.0000, 0.1623) [2 per cell]
In (0.0000, 0.0000, 0.5000) [1 per cell]
Pt (0.0000, 0.5000, 0.0000) [2 per cell]
Pt (0.0000, 0.5000, 0.3230) [4 per cell]
Pt (0.5000, 0.5000, 0.1625) [2 per cell]
Pt (0.5000, 0.5000, 0.5000) [1 per cell]

***

Entry 7:
Diffraction record for Rb2CrInTe4. The powder X-ray diffraction pattern is theoretical, not measured: it uses the PBE geometry in Alexandria and Cu Kα (weighted mean of Kα1 and Kα2).
Neutral-atom scattering factors, no anomalous dispersion.

Largest 10 diffraction maxima, most intense first, 15° ≤ 2θ ≤ 90°:
hkl 2 2 0, d = 3.232 Å, 2θ = 27.60°, intensity 100; hkl 2 2 4, d = 2.286 Å, 2θ = 39.41°, intensity 42; hkl 4 0 0, d = 2.221 Å, 2θ = 40.61°, intensity 12; hkl 4 0 4, d = 1.832 Å, 2θ = 49.78°, intensity 11; hkl 2 1 3, d = 2.941 Å, 2θ = 30.40°, intensity 10; hkl 0 4 0, d = 2.351 Å, 2θ = 38.29°, intensity 9; hkl 0 3 3, d = 2.536 Å, 2θ = 35.39°, intensity 8; hkl 0 4 4, d = 1.902 Å, 2θ = 47.82°, intensity 8; hkl 6 2 4, d = 1.295 Å, 2θ = 73.09°, intensity 8; hkl 2 3 1, d = 2.512 Å, 2θ = 35.74°, intensity 6

Crystal structure
Lattice parameters (Å, degrees): 8.8860 9.4028 12.9488 90.00 90.00 90.00
Space group Imma (No. 74)
One atom of each set of equivalent atoms:
Rb (0.0000, 0.0000, 0.0000) [4 per cell]
Rb (0.2500, 0.2500, 0.2500) [4 per cell]
Cr (0.2500, 0.2500, 0.7500) [4 per cell]
In (0.0000, 0.0000, 0.5000) [4 per cell]
Te (0.0000, 0.0558, 0.7373) [8 per cell]
Te (0.2219, 0.2500, 0.5307) [8 per cell]

***

Entry 8:
Diffraction record for Cr2In2Re. The powder X-ray diffraction pattern is theoretical, not measured: it uses the PBE geometry in Alexandria and Cu Kα (weighted mean of Kα1 and Kα2).
Neutral-atom scattering factors, no anomalous dispersion.

Largest 10 diffraction maxima, most intense first, 15° ≤ 2θ ≤ 90°:
hkl 2 0 1, d = 2.535 Å, 2θ = 35.41°, intensity 100; hkl 2 1 1, d = 2.347 Å, 2θ = 38.35°, intensity 86; hkl 0 0 2, d = 2.195 Å, 2θ = 41.12°, intensity 65; hkl 3 1 0, d = 1.963 Å, 2θ = 46.24°, intensity 56; hkl 1 1 1, d = 3.105 Å, 2θ = 28.76°, intensity 48; hkl 3 1 2, d = 1.464 Å, 2θ = 63.57°, intensity 41; hkl 3 3 1, d = 1.388 Å, 2θ = 67.46°, intensity 28; hkl 5 1 1, d = 1.173 Å, 2θ = 82.14°, intensity 27; hkl 2 0 3, d = 1.324 Å, 2θ = 71.23°, intensity 19; hkl 1 1 0, d = 4.390 Å, 2θ = 20.23°, intensity 17

Crystal structure
Lattice parameters (Å, degrees): 6.2090 6.2090 4.3907 90.00 90.00 90.00
Space group P4/mbm (No. 127)
One atom of each set of equivalent atoms:
Cr (0.1264, 0.3736, 0.0000) [4 per cell]
In (0.1792, 0.6792, 0.5000) [4 per cell]
Re (0.0000, 0.0000, 0.0000) [2 per cell]

***

Entry 9:
Diffraction record for CrIn4S6. The powder X-ray diffraction pattern is theoretical, not measured: it uses the PBE geometry in Alexandria and Cu Kα (weighted mean of Kα1 and Kα2).
Neutral-atom scattering factors, no anomalous dispersion.

Largest 10 diffraction maxima, most intense first, 15° ≤ 2θ ≤ 90°:
hkl 2 0 2, d = 3.571 Å, 2θ = 24.94°, intensity 100; hkl 3 1 -2, d = 3.461 Å, 2θ = 25.74°, intensity 75; hkl 3 3 -3, d = 2.208 Å, 2θ = 40.86°, intensity 58; hkl 5 3 -1, d = 1.864 Å, 2θ = 48.87°, intensity 53; hkl 0 2 1, d = 4.199 Å, 2θ = 21.16°, intensity 46; hkl 2 2 -2, d = 3.312 Å, 2θ = 26.92°, intensity 44; hkl 0 0 4, d = 2.931 Å, 2θ = 30.50°, intensity 43; hkl 1 1 2, d = 4.139 Å, 2θ = 21.47°, intensity 42; hkl 1 1 3, d = 3.172 Å, 2θ = 28.13°, intensity 34; hkl 1 1 -2, d = 4.994 Å, 2θ = 17.76°, intensity 31

Crystal structure
Lattice parameters (Å, degrees): 11.9576 8.9971 12.2961 90.00 107.74 90.00
Space group Cc (No. 9)
One atom of each set of equivalent atoms:
Cr (0.0000, 0.2299, 0.0000) [4 per cell]
In (0.0572, 0.0422, 0.7519) [4 per cell]
In (0.2044, 0.4203, 0.2638) [4 per cell]
In (0.2501, 0.0620, 0.5624) [4 per cell]
In (0.4041, 0.2441, 0.9510) [4 per cell]
S (0.1168, 0.1761, 0.3818) [4 per cell]
S (0.1925, 0.2120, 0.0617) [4 per cell]
S (0.2207, 0.1942, 0.7271) [4 per cell]
S (0.4163, 0.4529, 0.5636) [4 per cell]
S (0.4354, 0.2663, 0.3145) [4 per cell]
S (0.4627, 0.0540, 0.5668) [4 per cell]

***

Entry 10:
Diffraction record for Cr2InS4. The powder X-ray diffraction pattern is theoretical, not measured: it uses the PBE geometry in Alexandria and Cu Kα (weighted mean of Kα1 and Kα2).
Neutral-atom scattering factors, no anomalous dispersion.

Largest 10 diffraction maxima, most intense first, 15° ≤ 2θ ≤ 90°:
hkl 3 1 1, d = 3.138 Å, 2θ = 28.44°, intensity 100; hkl 2 2 0, d = 3.680 Å, 2θ = 24.18°, intensity 67; hkl 4 4 0, d = 1.840 Å, 2θ = 49.54°, intensity 66; hkl 5 1 1, d = 2.003 Å, 2θ = 45.27°, intensity 55; hkl 4 2 2, d = 2.125 Å, 2θ = 42.55°, intensity 25; hkl 5 5 3, d = 1.355 Å, 2θ = 69.34°, intensity 18; hkl 6 4 2, d = 1.391 Å, 2θ = 67.32°, intensity 16; hkl 5 3 3, d = 1.587 Å, 2θ = 58.11°, intensity 13; hkl 9 3 1, d = 1.091 Å, 2θ = 89.90°, intensity 13; hkl 5 5 5, d = 1.202 Å, 2θ = 79.79°, intensity 13

Crystal structure
Lattice parameters (Å, degrees): 10.4091 10.4091 10.4091 90.00 90.00 90.00
Space group Fd-3m (No. 227, origin choice 2)
One atom of each set of equivalent atoms:
Cr (0.0000, 0.0000, 0.0000) [16 per cell]
In (0.1250, 0.1250, 0.6250) [8 per cell]
S (0.0164, 0.0164, 0.2336) [32 per cell]

***

Entry 11:
Diffraction record for TlCrIn2S. The powder X-ray diffraction pattern is theoretical, not measured: it uses the PBE geometry in Alexandria and Cu Kα (weighted mean of Kα1 and Kα2).
Neutral-atom scattering factors, no anomalous dispersion.

Largest 10 diffraction maxima, most intense first, 15° ≤ 2θ ≤ 90°:
hkl 2 0 0, d = 2.891 Å, 2θ = 30.93°, intensity 100; hkl 0 0 1, d = 5.174 Å, 2θ = 17.14°, intensity 89; hkl 1 0 1, d = 3.856 Å, 2θ = 23.07°, intensity 73; hkl 2 0 2, d = 1.928 Å, 2θ = 47.14°, intensity 65; hkl 1 0 0, d = 5.782 Å, 2θ = 15.32°, intensity 62; hkl 2 0 1, d = 2.524 Å, 2θ = 35.57°, intensity 61; hkl 0 0 2, d = 2.587 Å, 2θ = 34.68°, intensity 54; hkl 2 1 1, d = 2.313 Å, 2θ = 38.94°, intensity 39; hkl 2 2 2, d = 1.604 Å, 2θ = 57.46°, intensity 37; hkl 2 2 0, d = 2.044 Å, 2θ = 44.31°, intensity 37

Crystal structure
Lattice parameters (Å, degrees): 5.7823 5.7823 5.1738 90.00 90.00 90.00
Space group P4/mmm (No. 123)
One atom of each set of equivalent atoms:
Tl (0.0000, 0.0000, 0.0000) [1 per cell]
Cr (0.5000, 0.5000, 0.5000) [1 per cell]
In (0.0000, 0.5000, 0.0000) [2 per cell]
S (0.0000, 0.0000, 0.5000) [1 per cell]

***

Entry 12:
Diffraction record for ZnCrInS4. The powder X-ray diffraction pattern is theoretical, not measured: it uses the PBE geometry in Alexandria and Cu Kα (weighted mean of Kα1 and Kα2).
Neutral-atom scattering factors, no anomalous dispersion.

Largest 10 diffraction maxima, most intense first, 15° ≤ 2θ ≤ 90°:
hkl 1 2 1, d = 3.131 Å, 2θ = 28.50°, intensity 100; hkl 2 2 4, d = 1.841 Å, 2θ = 49.52°, intensity 96; hkl 1 0 3, d = 3.150 Å, 2θ = 28.33°, intensity 68; hkl 2 2 0, d = 2.588 Å, 2θ = 34.66°, intensity 55; hkl 2 1 1, d = 3.118 Å, 2θ = 28.63°, intensity 37; hkl 3 0 3, d = 1.996 Å, 2θ = 45.45°, intensity 32; hkl 1 1 2, d = 3.681 Å, 2θ = 24.18°, intensity 28; hkl 3 2 1, d = 1.990 Å, 2θ = 45.57°, intensity 28; hkl 0 0 4, d = 2.618 Å, 2θ = 34.25°, intensity 28; hkl 1 0 5, d = 2.014 Å, 2θ = 45.02°, intensity 25

Crystal structure
Lattice parameters (Å, degrees): 7.2930 7.3488 10.4739 90.00 90.00 90.00
Space group Imma (No. 74)
One atom of each set of equivalent atoms:
Zn (0.0000, 0.2500, 0.1228) [4 per cell]
Cr (0.2500, 0.2500, 0.7500) [4 per cell]
In (0.0000, 0.0000, 0.5000) [4 per cell]
S (0.0000, 0.0254, 0.7513) [8 per cell]
S (0.2483, 0.2500, 0.5186) [8 per cell]

***

Entry 13:
Diffraction record for Cr4InSb. The powder X-ray diffraction pattern is theoretical, not measured: it uses the PBE geometry in Alexandria and Cu Kα (weighted mean of Kα1 and Kα2).
Neutral-atom scattering factors, no anomalous dispersion.

Largest 10 diffraction maxima, most intense first, 15° ≤ 2θ ≤ 90°:
hkl 3 1 1, d = 2.135 Å, 2θ = 42.33°, intensity 100; hkl 2 2 0, d = 2.504 Å, 2θ = 35.86°, intensity 60; hkl 5 1 1, d = 1.363 Å, 2θ = 68.89°, intensity 29; hkl 4 4 0, d = 1.252 Å, 2θ = 76.02°, intensity 21; hkl 4 2 2, d = 1.446 Å, 2θ = 64.45°, intensity 21; hkl 2 2 2, d = 2.044 Å, 2θ = 44.31°, intensity 17; hkl 6 2 0, d = 1.120 Å, 2θ = 87.02°, intensity 9; hkl 1 1 1, d = 4.089 Å, 2θ = 21.74°, intensity 8; hkl 3 3 1, d = 1.625 Å, 2θ = 56.65°, intensity 2; hkl 5 3 1, d = 1.197 Å, 2θ = 80.18°, intensity 2

Crystal structure
Lattice parameters (Å, degrees): 7.0821 7.0821 7.0821 90.00 90.00 90.00
Space group F-43m (No. 216)
One atom of each set of equivalent atoms:
Cr (0.1243, 0.1243, 0.1243) [16 per cell]
In (0.2500, 0.2500, 0.7500) [4 per cell]
Sb (0.0000, 0.0000, 0.5000) [4 per cell]